Record 1
Calculated powder diffractogram
Compound: Pm5ScAg4
Radiation: CuKα
Structure: a DFT-relaxed cell (PBE, Alexandria)

Atomic structure:
Unit cell a=3.6952 b=3.6952 c=19.5232 alpha=90.00 beta=90.00 gamma=90.00
Space group P4/mmm (No. 123)
Symmetry-distinct sites (fractional):
Pm 0.0000 0.0000 0.0000
Pm 0.0000 0.0000 0.1946
Pm 0.0000 0.0000 0.3883
Sc 0.5000 0.5000 0.5000
Ag 0.5000 0.5000 0.0962
Ag 0.5000 0.5000 0.2939

Principal peaks in the range 2θ = 15–90°, sorted by position:
d (Å), I_rel
2.684, 100
2.613, 49
1.848, 17
1.564, 16
1.522, 34
1.342, 10

=====

Record 2
Calculated powder diffractogram
Compound: PmScTlAg
Radiation: CuKα
Structure: a DFT-relaxed cell (PBE, Alexandria)

Atomic structure:
Unit cell a=3.5855 b=3.5855 c=7.6326 alpha=90.00 beta=90.00 gamma=90.00
Space group P4mm (No. 99)
Symmetry-distinct sites (fractional):
Pm 0.0000 0.0000 0.0000
Sc 0.0000 0.0000 0.5317
Tl 0.5000 0.5000 0.2873
Ag 0.5000 0.5000 0.7264

Principal peaks in the range 2θ = 15–90°, sorted by position:
d (Å), I_rel
3.245, 27
2.613, 100
2.535, 51
1.794, 31
1.525, 14
1.478, 34

=====

Record 3
Calculated powder diffractogram
Compound: PmScTlAg
Radiation: CuKα
Structure: a DFT-relaxed cell (PBE, Alexandria)

Atomic structure:
Unit cell a=7.3582 b=7.3582 c=7.3582 alpha=90.00 beta=90.00 gamma=90.00
Space group F-43m (No. 216)
Symmetry-distinct sites (fractional):
Pm 0.0000 0.0000 0.0000
Sc 0.0000 0.0000 0.5000
Tl 0.2500 0.2500 0.7500
Ag 0.2500 0.2500 0.2500

Principal peaks in the range 2θ = 15–90°, sorted by position:
d (Å), I_rel
4.248, 16
2.602, 100
1.840, 18
1.502, 36
1.301, 11
1.163, 16

=====

Record 4
Calculated powder diffractogram
Compound: Pm3AgSe4
Radiation: CuKα
Structure: a DFT-relaxed cell (PBE, Alexandria)

Atomic structure:
Unit cell a=4.1498 b=4.1498 c=14.0772 alpha=90.00 beta=90.00 gamma=120.00
Space group P-3m1 (No. 164)
Symmetry-distinct sites (fractional):
Pm 0.0000 0.0000 0.0000
Pm 0.0000 0.0000 0.2617
Ag 0.0000 0.0000 0.5000
Se 0.3333 0.6667 0.3811
Se 0.3333 0.6667 0.8707

Principal peaks in the range 2θ = 15–90°, sorted by position:
d (Å), I_rel
3.594, 41
3.201, 31
2.514, 100
2.075, 44
1.600, 25
1.267, 23

=====

Record 5
Calculated powder diffractogram
Compound: Pm2Ag4Se5
Radiation: CuKα
Structure: a DFT-relaxed cell (PBE, Alexandria)

Atomic structure:
Unit cell a=4.2937 b=4.2937 c=54.1291 alpha=90.00 beta=90.00 gamma=120.00
Space group R-3m (No. 166, hexagonal axes)
Symmetry-distinct sites (fractional):
Pm 0.0000 0.0000 0.1348
Ag 0.0000 0.0000 0.3117
Ag 0.0000 0.0000 0.4147
Se 0.0000 0.0000 0.2285
Se 0.0000 0.0000 0.3673
Se 0.0000 0.0000 0.5000

Principal peaks in the range 2θ = 15–90°, sorted by position:
d (Å), I_rel
3.586, 31
2.967, 100
2.147, 83
2.052, 52
1.747, 22
1.739, 20

=====

Record 6
Calculated powder diffractogram
Compound: PmAg5Se4
Radiation: CuKα
Structure: a DFT-relaxed cell (PBE, Alexandria)

Atomic structure:
Unit cell a=4.3258 b=7.7986 c=14.5788 alpha=90.00 beta=90.00 gamma=90.00
Space group Immm (No. 71)
Symmetry-distinct sites (fractional):
Pm 0.0000 0.0000 0.0000
Ag 0.0000 0.2813 0.3182
Ag 0.0000 0.5000 0.0000
Se 0.0000 0.0000 0.2079
Se 0.0000 0.2327 0.5000

Principal peaks in the range 2θ = 15–90°, sorted by position:
d (Å), I_rel
3.645, 23
3.231, 31
2.841, 100
2.430, 26
2.163, 30
2.055, 83

=====

Record 7
Calculated powder diffractogram
Compound: PmSiAg2Se4
Radiation: CuKα
Structure: a DFT-relaxed cell (PBE, Alexandria)

Atomic structure:
Unit cell a=7.7178 b=8.3226 c=11.5481 alpha=90.00 beta=90.00 gamma=90.00
Space group Imma (No. 74)
Symmetry-distinct sites (fractional):
Pm 0.0000 0.0000 0.0000
Si 0.2500 0.2500 0.2500
Ag 0.0000 0.0000 0.5000
Ag 0.2500 0.2500 0.7500
Se 0.0000 0.0252 0.2531
Se 0.2408 0.2500 0.4795

Principal peaks in the range 2θ = 15–90°, sorted by position:
d (Å), I_rel
2.887, 51
2.830, 100
2.081, 19
2.021, 70
1.688, 19
1.604, 17

=====

Record 8
Calculated powder diffractogram
Compound: Pm2SmAg3Se6
Radiation: CuKα
Structure: a DFT-relaxed cell (PBE, Alexandria)

Atomic structure:
Unit cell a=17.6916 b=4.2851 c=8.1156 alpha=90.00 beta=98.27 gamma=90.00
Space group C2/m (No. 12)
Symmetry-distinct sites (fractional):
Pm 0.1670 0.0000 0.3293
Sm 0.0000 0.5000 0.0000
Ag 0.0000 0.5000 0.5000
Ag 0.1705 0.0000 0.8209
Se 0.0014 0.0000 0.7514
Se 0.1648 0.5000 0.5806
Se 0.1673 0.5000 0.0791

Principal peaks in the range 2θ = 15–90°, sorted by position:
d (Å), I_rel
2.941, 100
2.918, 49
2.140, 61
2.009, 33
1.727, 20
1.347, 18

=====

Record 9
Calculated powder diffractogram
Compound: Pm2TlAgSe4
Radiation: CuKα
Structure: a DFT-relaxed cell (PBE, Alexandria)

Atomic structure:
Unit cell a=4.2690 b=14.2581 c=15.0615 alpha=90.00 beta=90.00 gamma=90.00
Space group Cmcm (No. 63)
Symmetry-distinct sites (fractional):
Pm 0.0000 0.1316 0.0679
Tl 0.0000 0.3795 0.2500
Ag 0.0000 0.3388 0.7500
Se 0.0000 0.0512 0.2500
Se 0.0000 0.2326 0.6056
Se 0.0000 0.5000 0.0000

Principal peaks in the range 2θ = 15–90°, sorted by position:
d (Å), I_rel
4.105, 37
3.108, 58
2.926, 100
2.427, 33
2.146, 54
2.134, 31

=====

Record 10
Calculated powder diffractogram
Compound: Pm2SiAg3
Radiation: CuKα
Structure: a DFT-relaxed cell (PBE, Alexandria)

Atomic structure:
Unit cell a=3.6791 b=4.5191 c=8.2450 alpha=90.00 beta=90.00 gamma=90.00
Space group Pmm2 (No. 25)
Symmetry-distinct sites (fractional):
Pm 0.0000 0.0000 0.0000
Pm 0.0000 0.5000 0.4783
Si 0.5000 0.0000 0.3218
Ag 0.5000 0.0000 0.6411
Ag 0.5000 0.5000 0.1670
Ag 0.5000 0.5000 0.8301

Principal peaks in the range 2θ = 15–90°, sorted by position:
d (Å), I_rel
2.745, 48
2.696, 100
2.348, 61
2.260, 27
1.745, 25
1.448, 25

=====

Record 11
Calculated powder diffractogram
Compound: PmSi2Ag6
Radiation: CuKα
Structure: a DFT-relaxed cell (PBE, Alexandria)

Atomic structure:
Unit cell a=4.2279 b=4.2279 c=9.4077 alpha=90.00 beta=90.00 gamma=90.00
Space group P4/mmm (No. 123)
Symmetry-distinct sites (fractional):
Pm 0.0000 0.0000 0.0000
Si 0.5000 0.5000 0.1220
Ag 0.0000 0.0000 0.5000
Ag 0.0000 0.5000 0.2810
Ag 0.5000 0.5000 0.5000

Principal peaks in the range 2θ = 15–90°, sorted by position:
d (Å), I_rel
2.523, 100
2.352, 12
2.164, 13
2.114, 35
1.572, 14
1.286, 22

=====

Record 12
Calculated powder diffractogram
Compound: Pm3SmAg4
Radiation: CuKα
Structure: a DFT-relaxed cell (PBE, Alexandria)

Atomic structure:
Unit cell a=3.7255 b=3.7255 c=14.9015 alpha=90.00 beta=90.00 gamma=90.00
Space group P4/mmm (No. 123)
Symmetry-distinct sites (fractional):
Pm 0.0000 0.0000 0.0000
Pm 0.0000 0.0000 0.2508
Sm 0.0000 0.0000 0.5000
Ag 0.5000 0.5000 0.1252
Ag 0.5000 0.5000 0.3770

Principal peaks in the range 2θ = 15–90°, sorted by position:
d (Å), I_rel
3.725, 2
2.634, 100
1.863, 18
1.521, 36
1.317, 11
1.178, 15

=====

Which formula does entry 8 have? Pm2SmAg3Se6